This entry pairs a crystal structure of Hg3S2Cl2 with its computed powder X-ray diffraction pattern. Radiation: Cu Ka. Structure: a DFT-relaxed cell (PBE, the Materials Project).

The 12 most intense peaks (15 to 90 degrees two-theta), in order of rising 2θ:
| hkl | d (Å) | 2θ (°) | I (rel.) |
| --- | --- | --- | --- |
| 0 1 2 | 4.108 | 21.6 | 26 |
| 1 1 1 | 3.826 | 23.2 | 100 |
| 0 2 2 | 3.307 | 27.0 | 35 |
| 1 0 2 | 3.262 | 27.3 | 19 |
| 0 3 0 | 3.218 | 27.7 | 18 |
| 1 1 2 | 3.091 | 28.9 | 20 |
| 1 2 2 | 2.703 | 33.1 | 29 |
| 1 3 1 | 2.547 | 35.2 | 21 |
| 1 1 3 | 2.459 | 36.5 | 19 |
| 0 4 0 | 2.413 | 37.3 | 17 |
| 2 0 0 | 2.345 | 38.4 | 25 |
| 2 2 2 | 1.913 | 47.5 | 17 |

Cell and atoms:
Cell lengths 4.691, 9.654, 9.079 Å; angles 90.00, 90.00, 90.00 degrees
Space group Pmc2_1 (No. 26)
Unique sites:
Hg 0.000 0.018 0.000 x2
Hg 0.000 0.283 0.749 x2
Hg 0.500 0.280 0.326 x2
S 0.000 0.235 0.484 x2
S 0.000 0.263 0.007 x2
Cl 0.500 0.026 0.252 x2
Cl 0.500 0.493 0.707 x2

=====

This entry pairs a crystal structure of Ce2UO6 with its computed powder X-ray diffraction pattern. Radiation: Cu Ka. Structure: a DFT-relaxed cell (PBE, the Materials Project).

The 12 most intense peaks (15 to 90 degrees two-theta), in order of rising 2θ:
| hkl | d (Å) | 2θ (°) | I (rel.) |
| --- | --- | --- | --- |
| 1 1 0 | 3.160 | 28.2 | 100 |
| 0 1 3 | 3.134 | 28.5 | 99 |
| 0 2 0 | 2.733 | 32.8 | 22 |
| 1 0 3 | 2.721 | 32.9 | 43 |
| 2 0 0 | 1.936 | 46.9 | 18 |
| 1 2 3 | 1.928 | 47.1 | 69 |
| 0 0 6 | 1.913 | 47.5 | 17 |
| 1 3 0 | 1.648 | 55.8 | 46 |
| 0 3 3 | 1.645 | 55.9 | 15 |
| 1 1 6 | 1.636 | 56.2 | 30 |
| 1 3 6 | 1.249 | 76.2 | 13 |
| 3 2 3 | 1.116 | 87.4 | 17 |

Cell and atoms:
Cell lengths 3.872, 5.467, 11.476 Å; angles 90.00, 90.00, 90.00 degrees
Space group Immm (No. 71)
Unique sites:
Ce 0.000 0.000 0.166 x4
U 0.000 0.000 0.500 x2
O 0.000 0.246 0.340 x8
O 0.000 0.266 0.000 x4

=====

This entry pairs a crystal structure of SrTiS3 with its computed powder X-ray diffraction pattern. Radiation: Cu Ka. Structure: a DFT-relaxed cell (PBE, the Materials Project).

The 12 most intense peaks (15 to 90 degrees two-theta), in order of rising 2θ:
| hkl | d (Å) | 2θ (°) | I (rel.) |
| --- | --- | --- | --- |
| 1 0 1 | 4.082 | 21.8 | 25 |
| 1 1 0 | 3.311 | 26.9 | 40 |
| 0 0 2 | 2.906 | 30.8 | 18 |
| 1 0 2 | 2.592 | 34.6 | 23 |
| 2 0 1 | 2.572 | 34.9 | 100 |
| 2 0 2 | 2.041 | 44.4 | 37 |
| 2 1 2 | 1.738 | 52.7 | 11 |
| 2 2 0 | 1.656 | 55.5 | 25 |
| 2 0 3 | 1.605 | 57.4 | 22 |
| 2 2 2 | 1.439 | 64.8 | 11 |
| 4 0 1 | 1.392 | 67.3 | 13 |
| 2 2 4 | 1.092 | 89.8 | 13 |

Cell and atoms:
Cell lengths 6.6224, 6.6224, 5.8124 Å; angles 90.00, 90.00, 120.00 degrees
Space group P6_3/mmc (No. 194)
Unique sites:
Sr 0.3333 0.6667 0.2500 x2
Ti 0.0000 0.0000 0.0000 x2
S 0.1697 0.3393 0.7500 x6

=====

This entry pairs a crystal structure of Nb8N5 with its computed powder X-ray diffraction pattern. Radiation: Cu Ka. Structure: a DFT-relaxed cell (PBE, the Materials Project).

The 12 most intense peaks (15 to 90 degrees two-theta), in order of rising 2θ:
| hkl | d (Å) | 2θ (°) | I (rel.) |
| --- | --- | --- | --- |
| 0 2 2 | 2.546 | 35.3 | 100 |
| 2 2 0 | 2.519 | 35.6 | 97 |
| 0 4 0 | 2.204 | 41.0 | 46 |
| 2 0 2 | 2.188 | 41.3 | 90 |
| 0 0 4 | 1.560 | 59.3 | 15 |
| 2 4 2 | 1.553 | 59.5 | 58 |
| 4 0 0 | 1.535 | 60.3 | 14 |
| 0 6 2 | 1.329 | 70.9 | 13 |
| 2 2 4 | 1.326 | 71.1 | 38 |
| 4 2 2 | 1.315 | 71.8 | 25 |
| 0 4 4 | 1.273 | 74.5 | 14 |
| 4 4 0 | 1.260 | 75.5 | 14 |

Cell and atoms:
Cell lengths 6.141, 8.814, 6.238 Å; angles 90.00, 90.00, 90.00 degrees
Space group Cmmm (No. 65)
Unique sites:
Nb 0.000 0.247 0.000 x4
Nb 0.000 0.252 0.500 x4
Nb 0.245 0.500 0.251 x8
N 0.000 0.000 0.500 x2
N 0.250 0.250 0.248 x8